This entry pairs a crystal structure of YTmMg with its calculated powder X-ray diffraction pattern. Radiation: copper Kα. Structure: a structure optimized by DFT (GGA-PBE).
No peak broadening, texture or thermal motion is included.

Top 8 peaks for 10° ≤ 2θ ≤ 90°, by intensity:
2θ 32.31, rel. 1000; 2θ 33.08, rel. 718; 2θ 33.36, rel. 351; 2θ 25.17, rel. 289; 2θ 47.08, rel. 224; 2θ 27.62, rel. 212; 2θ 36.43, rel. 208; 2θ 64.16, rel. 208

Structure:
a = 3.4390 Å, b = 9.4060 Å, c = 5.3716 Å
α = 90.00°, β = 90.01°, γ = 90.00°
Atoms (fractional coordinates):
Y1 0.0000 0.2480 0.0000
Y2 0.0000 0.7520 0.5000
Tm1 0.4993 0.4148 0.5002
Tm2 0.4993 0.5852 0.0002
Mg1 0.5048 0.0799 0.4990
Mg2 0.5048 0.9201 0.9990


This entry pairs a crystal structure of Tm2Mg3Zn3 with its calculated powder X-ray diffraction pattern. Radiation: copper Kα. Structure: a structure optimized by DFT (GGA-PBE).
No peak broadening, texture or thermal motion is included.

Top 8 peaks for 10° ≤ 2θ ≤ 90°, by intensity:
2θ 36.91, rel. 1000; 2θ 22.35, rel. 505; 2θ 43.58, rel. 255; 2θ 66.49, rel. 231; 2θ 53.19, rel. 166; 2θ 58.40, rel. 102; 2θ 66.54, rel. 89; 2θ 25.87, rel. 67

Structure:
a = 8.4452 Å, b = 8.4452 Å, c = 8.4452 Å
α = 33.50°, β = 33.50°, γ = 33.50°
Atoms (fractional coordinates):
Tm1 0.0000 0.0000 0.0000
Tm2 0.4872 0.4872 0.4872
Mg1 0.2397 0.2397 0.2397
Mg2 0.6163 0.6163 0.6163
Mg3 0.7456 0.7456 0.7456
Zn1 0.1202 0.1202 0.1202
Zn2 0.3630 0.3630 0.3630
Zn3 0.8734 0.8734 0.8734


Q: Number 1 is which compound?
A: YTmMg